Computed XRD peak list of SrLiAgCl4 for λ = 1.5418 Å (Cu Kα), from a crystal structure in Alexandria, relaxed with GGA-PBE.

Structure:
Unit cell a=7.8234 b=8.4654 c=11.2276 alpha=90.00 beta=90.00 gamma=90.00
Space group Imma (No. 74)
One atom of each set of equivalent atoms:
Sr  0.0000  0.0000  0.0000 [4 per cell]
Li  0.2500  0.2500  0.2500 [4 per cell]
Ag  0.0000  0.2500  0.6550 [4 per cell]
Cl  0.0000  0.0314  0.2552 [8 per cell]
Cl  0.2488  0.2500  0.0139 [8 per cell]

Top 10 peaks for 2θ from 5° to 70°, in order of rising 2θ:
d = 6.759 Å, I = 36, (0 1 1); d = 4.015 Å, I = 57, (1 1 2); d = 3.912 Å, I = 47, (2 0 0); d = 3.534 Å, I = 84, (1 2 1); d = 3.379 Å, I = 100, (1 0 3); d = 2.557 Å, I = 27, (2 2 2); d = 2.242 Å, I = 22, (2 3 1); d = 2.178 Å, I = 23, (3 2 1); d = 2.116 Å, I = 24, (0 4 0); d = 2.008 Å, I = 71, (2 2 4)

Computed XRD peak list of LiTl2AgCl4 for λ = 1.5418 Å (Cu Kα), from a crystal structure in Alexandria, relaxed with GGA-PBE.

Structure:
Unit cell a=11.8574 b=11.9035 c=8.2720 alpha=90.00 beta=133.99 gamma=90.00
Space group C2/c (No. 15)
One atom of each set of equivalent atoms:
Li  0.0000  0.0000  0.0000 [4 per cell]
Tl  0.0000  0.5000  0.0000 [4 per cell]
Tl  0.2500  0.2500  0.0000 [4 per cell]
Ag  0.2500  0.2500  0.5000 [4 per cell]
Cl  0.0009  0.2290  0.4725 [8 per cell]
Cl  0.2117  0.0122  0.4632 [8 per cell]

Top 10 peaks for 2θ from 5° to 70°, in order of rising 2θ:
d = 6.934 Å, I = 46, (1 1 0); d = 3.552 Å, I = 30, (3 1 -2); d = 3.467 Å, I = 50, (2 2 0); d = 3.396 Å, I = 46, (2 2 -2); d = 2.976 Å, I = 100, (0 0 2); d = 2.963 Å, I = 49, (4 0 -2); d = 2.714 Å, I = 21, (3 3 -2); d = 2.133 Å, I = 18, (4 0 0); d = 2.102 Å, I = 71, (0 4 2); d = 1.733 Å, I = 18, (4 4 0)

Computed XRD peak list of MgAg4Cl6 for λ = 1.5418 Å (Cu Kα), from a crystal structure in Alexandria, relaxed with GGA-PBE.

Structure:
Unit cell a=12.8458 b=7.5500 c=12.8301 alpha=90.00 beta=108.17 gamma=90.00
Space group Cc (No. 9)
One atom of each set of equivalent atoms:
Mg  0.0000  0.2409  0.0000 [4 per cell]
Ag  0.0653  0.2783  0.5867 [4 per cell]
Ag  0.2550  0.3919  0.9317 [4 per cell]
Ag  0.2712  0.1070  0.2415 [4 per cell]
Ag  0.4223  0.4226  0.7469 [4 per cell]
Cl  0.0557  0.4955  0.9278 [4 per cell]
Cl  0.0679  0.0143  0.4415 [4 per cell]
Cl  0.0716  0.2628  0.1900 [4 per cell]
Cl  0.2495  0.2367  0.7479 [4 per cell]
Cl  0.3094  0.2642  0.4364 [4 per cell]
Cl  0.3777  0.2832  0.1273 [4 per cell]

Top 10 peaks for 2θ from 5° to 70°, in order of rising 2θ:
d = 4.098 Å, I = 45, (1 1 2); d = 3.766 Å, I = 56, (2 0 2); d = 3.722 Å, I = 62, (3 1 -1); d = 3.606 Å, I = 69, (0 2 1); d = 3.542 Å, I = 80, (3 1 -2); d = 3.207 Å, I = 82, (1 1 3); d = 3.148 Å, I = 61, (4 0 -2); d = 3.052 Å, I = 100, (4 0 0); d = 2.049 Å, I = 55, (0 2 5); d = 2.036 Å, I = 65, (6 0 0)

Computed XRD peak list of MgAg5Cl12 for λ = 1.5418 Å (Cu Kα), from a crystal structure in Alexandria, relaxed with GGA-PBE.

Structure:
Unit cell a=6.4142 b=11.9548 c=12.5831 alpha=90.00 beta=92.76 gamma=90.00
Space group C2/m (No. 12)
One atom of each set of equivalent atoms:
Mg  0.0000  0.0000  0.0000 [2 per cell]
Ag  0.0000  0.1667  0.5000 [4 per cell]
Ag  0.0000  0.3422  0.0000 [4 per cell]
Ag  0.0000  0.5000  0.5000 [2 per cell]
Cl  0.1832  0.0000  0.3853 [4 per cell]
Cl  0.1834  0.3330  0.3852 [8 per cell]
Cl  0.1908  0.1551  0.1072 [8 per cell]
Cl  0.2064  0.5000  0.1191 [4 per cell]

Top 10 peaks for 2θ from 5° to 70°, in order of rising 2θ:
d = 6.284 Å, I = 100, (0 0 2); d = 3.289 Å, I = 22, (1 3 -1); d = 3.247 Å, I = 20, (1 3 1); d = 3.011 Å, I = 19, (1 3 -2); d = 2.666 Å, I = 24, (1 3 -3); d = 2.600 Å, I = 24, (1 3 3); d = 2.299 Å, I = 14, (2 0 -4); d = 2.043 Å, I = 13, (1 3 -5); d = 1.993 Å, I = 24, (0 6 0); d = 1.873 Å, I = 15, (3 3 -1)

Question: Which formula does entry 4 have?
Answer: MgAg5Cl12

Copy entry 2 word for word.
Computed XRD peak list of LiTl2AgCl4 for λ = 1.5418 Å (Cu Kα), from a crystal structure in Alexandria, relaxed with GGA-PBE.

Structure:
Unit cell a=11.8574 b=11.9035 c=8.2720 alpha=90.00 beta=133.99 gamma=90.00
Space group C2/c (No. 15)
One atom of each set of equivalent atoms:
Li  0.0000  0.0000  0.0000 [4 per cell]
Tl  0.0000  0.5000  0.0000 [4 per cell]
Tl  0.2500  0.2500  0.0000 [4 per cell]
Ag  0.2500  0.2500  0.5000 [4 per cell]
Cl  0.0009  0.2290  0.4725 [8 per cell]
Cl  0.2117  0.0122  0.4632 [8 per cell]

Top 10 peaks for 2θ from 5° to 70°, in order of rising 2θ:
d = 6.934 Å, I = 46, (1 1 0); d = 3.552 Å, I = 30, (3 1 -2); d = 3.467 Å, I = 50, (2 2 0); d = 3.396 Å, I = 46, (2 2 -2); d = 2.976 Å, I = 100, (0 0 2); d = 2.963 Å, I = 49, (4 0 -2); d = 2.714 Å, I = 21, (3 3 -2); d = 2.133 Å, I = 18, (4 0 0); d = 2.102 Å, I = 71, (0 4 2); d = 1.733 Å, I = 18, (4 4 0)